The following is a theoretical XRD peak list of La4Ti5S12O2. It was derived from DFT lattice parameters and positions (GGA-PBE), using Cu Kα, 1.54184 Å.
Neutral-atom scattering factors, no anomalous dispersion.

Structural model:
Unit cell a=10.363 b=8.476 c=10.366 alpha=90.00 beta=90.06 gamma=90.00
Fractional positions:
La1 0.000 0.234 0.000
La2 0.000 0.766 0.000
La3 0.416 0.237 0.003
La4 0.416 0.763 0.003
La5 0.418 0.240 0.576
La6 0.418 0.760 0.576
La7 0.997 0.237 0.584
La8 0.997 0.763 0.584
Ti1 0.071 0.500 0.293
Ti2 0.193 0.500 0.804
Ti3 0.212 0.000 0.292
Ti4 0.501 0.000 0.290
Ti5 0.685 0.500 0.893
Ti6 0.706 0.500 0.295
Ti7 0.707 0.000 0.790
Ti8 0.708 0.000 0.089
Ti9 0.708 0.000 0.498
Ti10 0.911 0.000 0.291
S1 0.057 0.216 0.291
S2 0.057 0.784 0.291
S3 0.199 0.500 0.529
S4 0.206 0.500 0.051
S5 0.208 0.000 0.053
S6 0.209 0.000 0.528
S7 0.210 0.228 0.789
S8 0.210 0.772 0.789
S9 0.367 0.222 0.289
S10 0.367 0.778 0.289
S11 0.469 0.500 0.792
S12 0.471 0.000 0.790
S13 0.548 0.500 0.445
S14 0.572 0.500 0.101
S15 0.708 0.223 0.632
S16 0.708 0.777 0.632
S17 0.710 0.220 0.945
S18 0.710 0.780 0.945
S19 0.711 0.183 0.288
S20 0.711 0.817 0.288
S21 0.887 0.500 0.441
S22 0.888 0.500 0.137
S23 0.943 0.500 0.798
S24 0.946 0.000 0.791
O1 0.518 0.000 0.100
O2 0.519 0.000 0.480
O3 0.898 0.000 0.481
O4 0.899 0.000 0.100

Most intense lines, 15 to 90 degrees two-theta, sorted by position:
hkl	2θ (°)	I_rel
2 0 0	17.1	59
2 0 2	24.3	39
3 0 0	25.8	38
0 2 2	27.2	98
2 2 -2	32.3	77
3 2 0	33.5	100
0 0 4	34.6	52
3 2 2	37.8	44
0 4 0	42.7	58
2 2 4	44.6	32
0 2 5	48.9	48
7 0 -2	65.5	30


The following is a theoretical XRD peak list of CoN. It was derived from DFT lattice parameters and positions (GGA-PBE), using Cu Kα, 1.54184 Å.
Neutral-atom scattering factors, no anomalous dispersion.

Structural model:
Unit cell a=4.766 b=4.767 c=4.760 alpha=90.00 beta=90.00 gamma=90.00
Fractional positions:
Co1 0.250 0.012 0.000
Co2 0.250 0.512 0.500
Co3 0.750 0.488 0.500
Co4 0.750 0.988 0.000
N1 0.250 0.254 0.253
N2 0.250 0.754 0.753
N3 0.750 0.246 0.753
N4 0.750 0.746 0.253

Most intense lines, 15 to 90 degrees two-theta, sorted by position:
hkl	2θ (°)	I_rel
0 1 1	26.5	100
1 1 1	32.6	6
2 0 0	37.8	51
2 1 1	46.7	40
0 2 2	54.5	33
0 1 3	61.6	16
1 3 1	64.9	2
2 2 2	68.2	16
2 1 3	74.5	17
4 0 0	80.6	5
0 0 4	80.8	2
4 1 1	86.7	9


Number 2 is which compound? CoN


Which formula does entry 1 have? La4Ti5S12O2